Starting from a cell relaxed with GGA-PBE, the XRD peak list of Hf9AlIn2 was simulated for copper Kα.
Neutral-atom scattering factors, no anomalous dispersion.

Top 10 peaks for 2θ from 5° to 70°, by intensity:
2θ (°)  Rel. int.
35.36  100.0
41.06  49.7
59.46  33.3
20.20  6.1
28.71  5.3
46.17  3.1
50.87  2.3
63.47  1.5
6.70  1.1
67.35  1.0

Cell and atoms:
Cell: 4.397 4.397 13.186 Å, 90.00 90.00 90.00°
Fractional positions:
Hf: 0.000 0.000 0.000
Hf: 0.000 0.000 0.331
Hf: 0.000 0.000 0.669
Hf: 0.000 0.500 0.161
Hf: 0.000 0.500 0.500
Hf: 0.000 0.500 0.839
Hf: 0.500 0.000 0.161
Hf: 0.500 0.000 0.500
Hf: 0.500 0.000 0.839
Al: 0.500 0.500 0.000
In: 0.500 0.500 0.331
In: 0.500 0.500 0.669

Starting from a cell relaxed with GGA-PBE, the XRD peak list of Mg7Te was simulated for copper Kα.
Neutral-atom scattering factors, no anomalous dispersion.

Top 10 peaks for 2θ from 5° to 70°, by intensity:
2θ (°)  Rel. int.
34.11  100.0
16.87  58.3
39.59  49.3
68.34  37.2
32.62  34.9
57.24  32.5
19.50  31.4
27.71  26.7
43.32  15.9
44.50  14.8

Cell and atoms:
Cell: 6.438 6.438 6.438 Å, 60.00 60.00 60.00°
Fractional positions:
Mg: 0.000 0.000 0.000
Mg: 0.000 0.000 0.500
Mg: 0.000 0.500 0.000
Mg: 0.000 0.500 0.500
Mg: 0.500 0.000 0.000
Mg: 0.500 0.000 0.500
Mg: 0.500 0.500 0.000
Te: 0.500 0.500 0.500

Starting from a cell relaxed with GGA-PBE, the XRD peak list of Hf4GaCo was simulated for copper Kα.
Neutral-atom scattering factors, no anomalous dispersion.

Top 10 peaks for 2θ from 5° to 70°, by intensity:
2θ (°)  Rel. int.
35.06  100.0
44.03  22.7
43.62  20.9
60.58  20.9
33.25  16.7
61.22  15.8
38.73  13.9
67.25  7.0
27.43  6.0
60.38  5.3

Cell and atoms:
Cell: 6.504 6.504 5.389 Å, 90.00 90.00 90.00°
Fractional positions:
Hf: 0.151 0.323 0.000
Hf: 0.151 0.677 0.500
Hf: 0.323 0.151 0.500
Hf: 0.323 0.849 0.000
Hf: 0.677 0.151 0.000
Hf: 0.677 0.849 0.500
Hf: 0.849 0.323 0.500
Hf: 0.849 0.677 0.000
Ga: 0.500 0.500 0.250
Ga: 0.500 0.500 0.750
Co: 0.000 0.000 0.250
Co: 0.000 0.000 0.750